This entry pairs a crystal structure of K2Li2PrCl6 with its theoretical X-ray powder pattern. Radiation: CuKα. Structure: a crystal structure in Alexandria, relaxed with PBE.
Peak positions follow from Bragg's law for the DFT cell and can differ from measured ones.

The 12 most intense peaks (2θ = 10–90°), in order of rising 2θ:
two_theta, I (rel.), h k l
12.1, 34, 0 0 1
14.7, 15, 1 0 0
19.1, 100, 1 0 1
25.6, 13, 1 1 0
28.4, 41, 1 1 1
28.5, 16, 1 0 2
32.1, 35, 2 0 1
35.6, 78, 1 1 2
39.9, 19, 1 0 3
41.5, 31, 3 -1 1
45.1, 31, 3 0 0
58.7, 15, 4 -2 2

Crystal structure
```
K2Li2PrCl6
1.0
6.9710 0.0000 0.0000
-3.4855 6.0370 0.0000
0.0000 0.0000 7.3104
K Li Pr Cl
2 2 1 6
Cartesian
0.0000 4.0247 0.0000
3.4855 2.0123 0.0000
0.0000 4.0247 3.6552
3.4855 2.0123 3.6552
0.0000 0.0000 3.6552
-1.2613 2.1846 2.2242
-2.2242 3.8524 5.0861
2.5226 0.0000 2.2242
1.2613 2.1846 5.0861
4.4484 0.0000 5.0861
2.2242 3.8524 2.2242
```